Structure and theoretical powder diffraction line list of CaZrAl9BO18 (DFT lattice parameters and positions (GGA-PBE); copper Kα).

Cell and atoms:
a b c (Å): 8.802 8.802 8.552
angles (deg): 90.00 90.00 120.00
Element x y z (fractional)
Ca  0.000  0.000  0.000
Ca  0.000  0.000  0.500
Zr  0.333  0.667  0.256
Zr  0.667  0.333  0.756
Al  0.004  0.668  0.256
Al  0.017  0.657  0.928
Al  0.018  0.657  0.584
Al  0.332  0.337  0.256
Al  0.337  0.004  0.756
Al  0.343  0.361  0.584
Al  0.343  0.361  0.928
Al  0.361  0.017  0.428
Al  0.361  0.018  0.084
Al  0.639  0.982  0.584
Al  0.639  0.983  0.928
Al  0.657  0.639  0.084
Al  0.657  0.639  0.428
Al  0.663  0.996  0.256
Al  0.668  0.663  0.756
Al  0.982  0.343  0.084
Al  0.983  0.343  0.428
Al  0.996  0.332  0.756
B  0.333  0.667  0.756
B  0.667  0.333  0.256
O  0.107  0.299  0.924
O  0.107  0.300  0.588
O  0.110  0.328  0.256
O  0.118  0.595  0.098
O  0.118  0.595  0.414
O  0.154  0.601  0.756
O  0.192  0.893  0.924
O  0.193  0.893  0.588
O  0.219  0.890  0.256
O  0.299  0.192  0.424
O  0.300  0.193  0.088
O  0.328  0.219  0.756
O  0.399  0.553  0.756
O  0.405  0.523  0.098
O  0.405  0.523  0.414
O  0.447  0.846  0.756
O  0.477  0.882  0.098
O  0.477  0.882  0.414
O  0.523  0.118  0.598
O  0.523  0.118  0.914
O  0.553  0.154  0.256
O  0.595  0.477  0.598
O  0.595  0.477  0.914
O  0.601  0.447  0.256
O  0.672  0.781  0.256
O  0.700  0.807  0.588
O  0.701  0.808  0.924
O  0.781  0.110  0.756
O  0.807  0.107  0.088
O  0.808  0.107  0.424
O  0.846  0.399  0.256
O  0.882  0.405  0.598
O  0.882  0.405  0.914
O  0.890  0.672  0.756
O  0.893  0.700  0.088
O  0.893  0.701  0.424

Main lines, low angle first (2θ = 10–90°):
2θ (°)	Rel. int.
15.6	791
23.9	659
31.4	385
35.3	1000
37.6	611
44.7	721
52.5	487
64.9	505

=====

Structure and theoretical powder diffraction line list of BaBr2O (DFT lattice parameters and positions (GGA-PBE); copper Kα).

Cell and atoms:
a b c (Å): 9.031 4.778 10.887
angles (deg): 90.00 90.00 90.00
Element x y z (fractional)
Ba  0.231  0.250  0.109
Ba  0.269  0.750  0.609
Ba  0.731  0.250  0.391
Ba  0.769  0.750  0.891
Br  0.051  0.750  0.321
Br  0.132  0.750  0.901
Br  0.368  0.250  0.401
Br  0.449  0.250  0.821
Br  0.551  0.750  0.179
Br  0.632  0.750  0.599
Br  0.868  0.250  0.099
Br  0.949  0.250  0.679
O  0.148  0.250  0.653
O  0.352  0.750  0.153
O  0.648  0.250  0.847
O  0.852  0.750  0.347

Main lines, low angle first (2θ = 10–90°):
2θ (°)	Rel. int.
26.7	1000
28.4	882
30.9	787
32.9	353
34.0	637
37.7	507
51.7	383
55.5	325

=====

Structure and theoretical powder diffraction line list of LiHfPCO7 (DFT lattice parameters and positions (GGA-PBE); copper Kα).

Cell and atoms:
a b c (Å): 5.549 6.599 8.843
angles (deg): 90.00 92.94 90.00
Element x y z (fractional)
Li  0.247  0.000  0.163
Li  0.753  0.500  0.837
Hf  0.297  0.295  0.662
Hf  0.703  0.795  0.338
P  0.225  0.799  0.558
P  0.775  0.299  0.442
C  0.232  0.310  0.948
C  0.768  0.810  0.052
O  0.049  0.290  0.483
O  0.056  0.338  0.839
O  0.196  0.269  0.081
O  0.288  0.985  0.657
O  0.309  0.607  0.644
O  0.356  0.813  0.407
O  0.449  0.317  0.887
O  0.551  0.817  0.113
O  0.644  0.313  0.593
O  0.691  0.107  0.356
O  0.712  0.485  0.343
O  0.804  0.769  0.919
O  0.944  0.838  0.161
O  0.951  0.790  0.517

Main lines, low angle first (2θ = 10–90°):
2θ (°)	Rel. int.
10.0	953
16.8	1000
18.5	368
19.3	564
20.9	562
25.1	396
27.0	482
37.9	215

=====

Structure and theoretical powder diffraction line list of YMn6Sn6 (DFT lattice parameters and positions (GGA-PBE); copper Kα).

Cell and atoms:
a b c (Å): 5.460 5.460 9.007
angles (deg): 90.00 90.00 120.00
Element x y z (fractional)
Y  0.000  0.000  0.000
Mn  0.000  0.500  0.249
Mn  0.000  0.500  0.751
Mn  0.500  0.000  0.249
Mn  0.500  0.000  0.751
Mn  0.500  0.500  0.249
Mn  0.500  0.500  0.751
Sn  0.000  0.000  0.334
Sn  0.000  0.000  0.666
Sn  0.333  0.667  0.000
Sn  0.333  0.667  0.500
Sn  0.667  0.333  0.000
Sn  0.667  0.333  0.500

Main lines, low angle first (2θ = 10–90°):
2θ (°)	Rel. int.
32.8	1000
35.4	371
38.1	242
38.6	834
43.2	690
44.6	260
68.8	311
71.8	373

=====

Structure and theoretical powder diffraction line list of SnPO4 (DFT lattice parameters and positions (GGA-PBE); copper Kα).

Cell and atoms:
a b c (Å): 8.270 18.453 4.916
angles (deg): 90.00 90.00 90.00
Element x y z (fractional)
Sn  0.054  0.221  0.000
Sn  0.179  0.450  0.919
Sn  0.321  0.950  0.419
Sn  0.446  0.721  0.500
Sn  0.554  0.279  0.000
Sn  0.679  0.050  0.919
Sn  0.821  0.550  0.419
Sn  0.946  0.779  0.500
P  0.229  0.557  0.374
P  0.249  0.837  0.887
P  0.251  0.337  0.387
P  0.271  0.057  0.874
P  0.729  0.943  0.374
P  0.749  0.663  0.887
P  0.751  0.163  0.387
P  0.771  0.443  0.874
O  0.050  0.547  0.263
O  0.081  0.852  0.762
O  0.119  0.384  0.236
O  0.173  0.007  0.680
O  0.199  0.258  0.367
O  0.218  0.136  0.867
O  0.242  0.531  0.671
O  0.245  0.862  0.195
O  0.255  0.362  0.695
O  0.258  0.031  0.171
O  0.282  0.636  0.367
O  0.301  0.758  0.867
O  0.327  0.507  0.180
O  0.381  0.884  0.736
O  0.419  0.352  0.262
O  0.450  0.047  0.763
O  0.550  0.953  0.263
O  0.581  0.648  0.762
O  0.619  0.116  0.236
O  0.673  0.493  0.680
O  0.699  0.242  0.367
O  0.718  0.364  0.867
O  0.742  0.969  0.671
O  0.745  0.638  0.195
O  0.755  0.138  0.695
O  0.758  0.469  0.171
O  0.782  0.864  0.367
O  0.801  0.742  0.867
O  0.827  0.993  0.180
O  0.881  0.616  0.736
O  0.919  0.148  0.262
O  0.950  0.453  0.763

Main lines, low angle first (2θ = 10–90°):
2θ (°)	Rel. int.
18.0	687
18.7	985
22.0	560
23.6	790
25.6	734
28.6	1000
30.3	952
31.8	962

=====

Structure and theoretical powder diffraction line list of CuO (DFT lattice parameters and positions (GGA-PBE); copper Kα).

Cell and atoms:
a b c (Å): 4.161 4.161 3.888
angles (deg): 90.00 90.00 90.00
Element x y z (fractional)
Cu  0.000  0.000  0.000
Cu  0.000  0.500  0.500
Cu  0.500  0.000  0.500
O  0.000  0.000  0.500
O  0.000  0.500  0.000
O  0.500  0.000  0.000

Main lines, low angle first (2θ = 10–90°):
2θ (°)	Rel. int.
21.4	693
30.4	281
38.4	1000
43.5	884
46.7	351
63.2	253
65.7	443
76.4	260

=====

Structure and theoretical powder diffraction line list of LaMoN3 (DFT lattice parameters and positions (GGA-PBE); copper Kα).

Cell and atoms:
a b c (Å): 3.961 7.786 7.786
angles (deg): 136.55 90.00 90.00
Element x y z (fractional)
La  0.250  0.174  0.826
La  0.750  0.826  0.174
Mo  0.250  0.360  0.535
Mo  0.750  0.535  0.360
N  0.250  0.060  0.435
N  0.250  0.434  0.322
N  0.250  0.594  0.872
N  0.750  0.322  0.434
N  0.750  0.435  0.060
N  0.750  0.872  0.594

Main lines, low angle first (2θ = 10–90°):
2θ (°)	Rel. int.
24.1	451
24.6	164
28.0	1000
31.0	271
33.5	368
34.7	334
45.8	167
46.4	389

=====

Structure and theoretical powder diffraction line list of Bi4Br2O5 (DFT lattice parameters and positions (GGA-PBE); copper Kα).

Cell and atoms:
a b c (Å): 11.104 5.741 14.807
angles (deg): 90.00 98.53 90.00
Element x y z (fractional)
Bi  0.064  0.000  0.219
Bi  0.097  0.979  0.959
Bi  0.148  0.091  0.698
Bi  0.227  0.566  0.373
Bi  0.233  0.531  0.118
Bi  0.289  0.591  0.848
Bi  0.405  0.074  0.294
Bi  0.422  0.079  0.543
Bi  0.578  0.579  0.457
Bi  0.595  0.574  0.706
Bi  0.711  0.091  0.152
Bi  0.767  0.031  0.882
Bi  0.773  0.066  0.627
Bi  0.852  0.591  0.302
Bi  0.903  0.479  0.041
Bi  0.936  0.500  0.781
Br  0.124  0.109  0.450
Br  0.286  0.585  0.620
Br  0.375  0.108  0.062
Br  0.448  0.085  0.772
Br  0.552  0.585  0.228
Br  0.625  0.608  0.938
Br  0.714  0.085  0.380
Br  0.876  0.609  0.550
O  0.041  0.647  0.297
O  0.076  0.290  0.088
O  0.076  0.792  0.095
O  0.147  0.838  0.803
O  0.153  0.337  0.807
O  0.205  0.634  0.967
O  0.245  0.311  0.264
O  0.252  0.821  0.258
O  0.419  0.836  0.420
O  0.422  0.321  0.421
O  0.578  0.821  0.579
O  0.581  0.336  0.580
O  0.748  0.321  0.742
O  0.755  0.811  0.736
O  0.795  0.134  0.033
O  0.847  0.837  0.193
O  0.853  0.338  0.197
O  0.924  0.292  0.905
O  0.924  0.790  0.912
O  0.959  0.147  0.703

Main lines, low angle first (2θ = 10–90°):
2θ (°)	Rel. int.
23.9	250
28.9	909
29.1	1000
31.2	374
31.3	437
44.8	337
54.2	222
54.4	178